Entry 1:
Pm8Y4Th: simulated X-ray diffraction stick pattern (Cu Kα, 1.54184 Å), based on a DFT-relaxed cell (PBE, Alexandria).
Kinematic intensities with the Lorentz-polarization factor, no thermal factor.

Cell and atoms:
```
data_Pm8Y4Th
_cell_length_a 11.7911
_cell_length_b 11.7911
_cell_length_c 11.6987
_cell_angle_alpha 90.00
_cell_angle_beta 90.00
_cell_angle_gamma 120.00
_symmetry_space_group_name_H-M 'R -3 m'
_symmetry_Int_Tables_number 166
_symmetry_space_group_name_Hall '-R 3 2"'
loop_
_atom_site_label
_atom_site_fract_x
_atom_site_fract_y
_atom_site_fract_z
Pm1 0.0000 0.0000 0.2406
Pm2 0.0006 0.5003 0.3315
Y1 0.0000 0.0000 0.0000
Y2 0.0000 0.5000 0.0000
Th1 0.0000 0.0000 0.5000
```

Top 10 peaks for 10° ≤ 2θ ≤ 90°, sorted by position:
2θ (°)	intensity	(hkl)
22.80	21	0 0 3
27.42	27	1 1 3
30.32	100	2 2 0
34.99	14	3 0 3
38.28	32	2 2 3
38.63	14	2 1 4
46.96	13	4 1 3
53.87	20	6 0 0
56.60	16	2 2 6
63.07	12	4 4 0



Entry 2:
Pm3Y7Th: simulated X-ray diffraction stick pattern (Cu Kα, 1.54184 Å), based on a DFT-relaxed cell (PBE, Alexandria).
Kinematic intensities with the Lorentz-polarization factor, no thermal factor.

Cell and atoms:
```
data_Pm3Y7Th
_cell_length_a 6.9574
_cell_length_b 11.2697
_cell_length_c 10.0441
_cell_angle_alpha 90.00
_cell_angle_beta 110.26
_cell_angle_gamma 90.00
_symmetry_space_group_name_H-M 'P 1 21/m 1'
_symmetry_Int_Tables_number 11
loop_
_symmetry_equiv_pos_as_xyz
'x,y,z'
'-x,-y,-z'
'-x,y+1/2,-z'
'x,-y+1/2,z'
loop_
_atom_site_label
_atom_site_fract_x
_atom_site_fract_y
_atom_site_fract_z
Pm1 0.0000 0.0000 0.0000
Pm2 0.2329 0.2500 0.4774
Pm3 0.2447 0.7500 0.4777
Y1 0.0982 0.0305 0.6805
Y2 0.1973 0.7500 0.8259
Y3 0.2307 0.2500 0.0006
Y4 0.3716 0.7500 0.1742
Y5 0.4176 0.0304 0.3195
Th1 0.5000 0.0000 0.0000
```

Top 10 peaks for 10° ≤ 2θ ≤ 90°, sorted by position:
2θ (°)	intensity	(hkl)
18.35	17	0 2 1
18.83	11	0 0 2
28.06	8	1 1 2
31.71	100	0 4 0
31.98	30	2 0 1
32.64	40	0 2 3
45.69	19	2 4 1
56.53	12	2 6 0
58.02	16	2 2 4
63.31	10	4 2 -5



Entry 3:
Pm2Y6Th: simulated X-ray diffraction stick pattern (Cu Kα, 1.54184 Å), based on a DFT-relaxed cell (PBE, Alexandria).
Kinematic intensities with the Lorentz-polarization factor, no thermal factor.

Cell and atoms:
```
data_Pm2Y6Th
_cell_length_a 3.6088
_cell_length_b 3.6088
_cell_length_c 26.5244
_cell_angle_alpha 90.00
_cell_angle_beta 90.00
_cell_angle_gamma 120.00
_symmetry_space_group_name_H-M 'P -6 m 2'
_symmetry_Int_Tables_number 187
_symmetry_space_group_name_Hall 'P -6 2'
loop_
_atom_site_label
_atom_site_fract_x
_atom_site_fract_y
_atom_site_fract_z
Pm1 0.0000 0.0000 0.1712
Y1 0.0000 0.0000 0.3908
Y2 0.6667 0.3333 0.0634
Y3 0.6667 0.3333 0.2833
Th1 0.6667 0.3333 0.5000
```

Top 10 peaks for 10° ≤ 2θ ≤ 90°, sorted by position:
2θ (°)	intensity	(hkl)
10.00	33	0 0 3
28.56	44	1 0 0
29.36	20	1 0 2
30.33	55	0 0 9
31.65	68	1 0 4
33.27	100	1 0 5
42.14	28	1 0 9
50.58	37	1 1 0
56.83	29	1 0 14
60.13	40	1 1 9